No. 1
The following is a calculated powder diffractogram of Na6W7O21. It was derived from a crystal structure in Alexandria, relaxed with GGA+U, using Cu Kα, 1.54184 Å.
Intensities are scaled so that the largest is 100.

The 10 most intense peaks (2θ from 10° to 90°), low angle first:
- 22.39°, intensity 100
- 31.87°, intensity 90
- 39.34°, intensity 9
- 45.70°, intensity 30
- 51.39°, intensity 21
- 51.52°, intensity 21
- 56.64°, intensity 9
- 56.84°, intensity 27
- 66.50°, intensity 9
- 66.72°, intensity 9

Atomic structure:
Cell lengths 14.8362, 14.8362, 6.8981 Å; angles 90.00, 90.00, 120.00 degrees
Space group R-3 (No. 148, hexagonal axes)
One atom of each set of equivalent atoms:
Na1 0.0457 0.2365 0.1601
W1 0.0000 0.0000 0.0000
W2 0.0468 0.2363 0.6654
O1 0.0000 0.5000 0.5000
O2 0.0249 0.1183 0.8415
O3 0.0251 0.6213 0.8440
O4 0.0788 0.8615 0.4990

=====

No. 2
The following is a calculated powder diffractogram of CrSe2O5. It was derived from a crystal structure in Alexandria, relaxed with GGA+U, using Cu Kα, 1.54184 Å.
Intensities are scaled so that the largest is 100.

The 10 most intense peaks (2θ from 10° to 90°), low angle first:
- 20.08°, intensity 51
- 25.00°, intensity 100
- 28.64°, intensity 34
- 29.33°, intensity 42
- 29.77°, intensity 65
- 30.57°, intensity 34
- 31.61°, intensity 22
- 43.87°, intensity 32
- 52.77°, intensity 24
- 54.31°, intensity 19

Atomic structure:
Cell lengths 7.0792, 10.4146, 6.7455 Å; angles 90.00, 90.00, 90.00 degrees
Space group Pbcn (No. 60)
One atom of each set of equivalent atoms:
Cr1 0.0000 0.0568 0.2500
Se1 0.1408 0.3412 0.0584
O1 0.0000 0.4295 0.2500
O2 0.1530 0.0754 0.5767
O3 0.1934 0.2014 0.1777